[1]
Starting from a DFT-relaxed cell (GGA-PBE, OQMD), the powder X-ray diffraction pattern of BaLi3Nd2Pb3 was simulated for CuKα.
Kinematic intensities with the Lorentz-polarization factor, no thermal factor.

Cell and atoms:
a b c (Å): 4.9330 4.9330 12.1392
angles (deg): 90.00 90.00 120.00
Space group P-6m2 (No. 187)
Unique sites:
Ba (0.0000, 0.0000, 0.0000) (multiplicity 1)
Li (0.3333, 0.6667, 0.5000) (multiplicity 1)
Li (0.6667, 0.3333, 0.2131) (multiplicity 2)
Nd (0.0000, 0.0000, 0.3424) (multiplicity 2)
Pb (0.3333, 0.6667, 0.2058) (multiplicity 2)
Pb (0.6667, 0.3333, 0.5000) (multiplicity 1)

The 10 most intense peaks (2θ = 5–70°), by angle:
2θ = 22.06°, 4.030 Å, intensity 34, hkl 1 0 1
2θ = 25.50°, 3.493 Å, intensity 75, hkl 1 0 2
2θ = 30.43°, 2.938 Å, intensity 100, hkl 1 0 3
2θ = 36.43°, 2.466 Å, intensity 74, hkl 1 1 0
2θ = 42.84°, 2.111 Å, intensity 23, hkl 1 0 5
2θ = 44.99°, 2.015 Å, intensity 17, hkl 2 0 2
2θ = 48.17°, 1.889 Å, intensity 28, hkl 2 0 3
2θ = 59.21°, 1.560 Å, intensity 15, hkl 2 1 2
2θ = 61.87°, 1.500 Å, intensity 27, hkl 2 1 3
2θ = 65.54°, 1.424 Å, intensity 17, hkl 3 0 0

=====

[2]
Starting from a DFT-relaxed cell (GGA-PBE, OQMD), the powder X-ray diffraction pattern of Ba3Li4Ni was simulated for CuKα.
Kinematic intensities with the Lorentz-polarization factor, no thermal factor.

Cell and atoms:
a b c (Å): 7.1736 9.3550 7.6332
angles (deg): 90.00 90.00 90.00
Space group Imm2 (No. 44)
Unique sites:
Ba (0.0000, 0.0000, 0.0000) (multiplicity 2)
Ba (0.0000, 0.2879, 0.6556) (multiplicity 4)
Li (0.0000, 0.3534, 0.2074) (multiplicity 4)
Li (0.1822, 0.0000, 0.4296) (multiplicity 4)
Ni (0.0000, 0.5000, 0.9410) (multiplicity 2)

The 10 most intense peaks (2θ = 5–70°), by angle:
2θ = 14.98°, 5.914 Å, intensity 19, hkl 0 1 1
2θ = 16.96°, 5.227 Å, intensity 55, hkl 1 0 1
2θ = 24.82°, 3.587 Å, intensity 44, hkl 2 0 0
2θ = 25.55°, 3.486 Å, intensity 100, hkl 1 2 1
2θ = 30.22°, 2.957 Å, intensity 37, hkl 0 2 2
2θ = 31.28°, 2.860 Å, intensity 14, hkl 1 3 0
2θ = 37.50°, 2.398 Å, intensity 25, hkl 1 0 3
2θ = 39.49°, 2.282 Å, intensity 40, hkl 2 2 2
2θ = 44.16°, 2.051 Å, intensity 24, hkl 3 2 1
2θ = 52.51°, 1.743 Å, intensity 12, hkl 3 0 3

=====

[3]
Starting from a DFT-relaxed cell (GGA-PBE, OQMD), the powder X-ray diffraction pattern of Ba2LiOsS6 was simulated for CuKα.
Kinematic intensities with the Lorentz-polarization factor, no thermal factor.

Cell and atoms:
a b c (Å): 9.5854 9.5854 9.5854
angles (deg): 90.00 90.00 90.00
Space group Fm-3m (No. 225)
Unique sites:
Ba (0.2500, 0.2500, 0.2500) (multiplicity 8)
Li (0.0000, 0.0000, 0.0000) (multiplicity 4)
Os (0.0000, 0.0000, 0.5000) (multiplicity 4)
S (0.0000, 0.0000, 0.2542) (multiplicity 24)

The 10 most intense peaks (2θ = 5–70°), by angle:
2θ = 16.02°, 5.534 Å, intensity 49, hkl 1 1 1
2θ = 26.30°, 3.389 Å, intensity 100, hkl 2 2 0
2θ = 30.94°, 2.890 Å, intensity 28, hkl 3 1 1
2θ = 32.35°, 2.767 Å, intensity 20, hkl 2 2 2
2θ = 37.53°, 2.396 Å, intensity 56, hkl 4 0 0
2θ = 41.04°, 2.199 Å, intensity 12, hkl 3 3 1
2θ = 46.41°, 1.957 Å, intensity 44, hkl 4 2 2
2θ = 54.13°, 1.694 Å, intensity 37, hkl 4 4 0
2θ = 61.15°, 1.516 Å, intensity 20, hkl 6 2 0
2θ = 67.73°, 1.384 Å, intensity 13, hkl 4 4 4